Entry 1:
Diffraction record for AcSc2TaO7. The PXRD pattern is simulated, not measured: it uses DFT lattice parameters and positions (GGA-PBE) and λ = 1.5418 Å (Cu Kα).
Peak positions follow from Bragg's law for the DFT cell and can differ from measured ones.

Structural model:
Lattice parameters (Å, degrees): 9.7058 9.7058 9.7058 156.13 156.13 34.01
Element x y z (fractional)
Ac 0.0000 0.0000 0.0000
Sc 0.3849 0.3849 0.0000
Sc 0.6151 0.6151 0.0000
Ta 0.7500 0.2500 0.5000
O 0.0893 0.5893 0.5000
O 0.2635 0.2635 0.0000
O 0.4107 0.9107 0.5000
O 0.5000 0.5000 0.0000
O 0.6421 0.1421 0.5000
O 0.7365 0.7365 0.0000
O 0.8579 0.3579 0.5000

Peak list (6 most intense, 10 to 90 degrees two-theta, by angle)
2theta	d/Å	intensity
19.1	4.641	45.9
22.7	3.924	69.4
26.5	3.368	100.0
32.9	2.726	48.1
33.0	2.715	78.2
45.2	2.007	39.0

Entry 2:
Diffraction record for Ac2ScTcO6. The PXRD pattern is simulated, not measured: it uses DFT lattice parameters and positions (GGA-PBE) and λ = 1.5418 Å (Cu Kα).
Peak positions follow from Bragg's law for the DFT cell and can differ from measured ones.

Structural model:
Lattice parameters (Å, degrees): 5.7846 5.7846 5.7846 60.00 60.00 60.00
Element x y z (fractional)
Ac 0.2500 0.2500 0.2500
Ac 0.7500 0.7500 0.7500
Sc 0.0000 0.0000 0.0000
Tc 0.5000 0.5000 0.5000
O 0.2512 0.2512 0.7488
O 0.2512 0.7488 0.2512
O 0.2512 0.7488 0.7488
O 0.7488 0.2512 0.2512
O 0.7488 0.2512 0.7488
O 0.7488 0.7488 0.2512

Peak list (6 most intense, 10 to 90 degrees two-theta, by angle)
2theta	d/Å	intensity
21.7	4.090	24.8
30.9	2.892	100.0
38.1	2.362	19.5
44.3	2.045	28.4
55.0	1.670	40.9
89.7	1.093	22.3

Entry 3:
Diffraction record for AcScTe2O. The PXRD pattern is simulated, not measured: it uses DFT lattice parameters and positions (GGA-PBE) and λ = 1.5418 Å (Cu Kα).
Peak positions follow from Bragg's law for the DFT cell and can differ from measured ones.

Structural model:
Lattice parameters (Å, degrees): 4.2610 4.2610 15.2869 90.00 90.00 90.00
Element x y z (fractional)
Ac 0.2500 0.2500 0.0834
Ac 0.7500 0.7500 0.9166
Sc 0.2500 0.2500 0.6109
Sc 0.7500 0.7500 0.3891
Te 0.2500 0.2500 0.4115
Te 0.2500 0.2500 0.7881
Te 0.7500 0.7500 0.2119
Te 0.7500 0.7500 0.5885
O 0.2500 0.7500 0.0000
O 0.7500 0.2500 0.0000

Peak list (6 most intense, 10 to 90 degrees two-theta, by angle)
2theta	d/Å	intensity
27.3	3.269	100.0
29.7	3.013	63.2
31.4	2.845	19.2
42.4	2.130	27.1
46.7	1.945	27.4
51.2	1.785	36.4

Entry 4:
Diffraction record for AcScTl2O6. The PXRD pattern is simulated, not measured: it uses DFT lattice parameters and positions (GGA-PBE) and λ = 1.5418 Å (Cu Kα).
Peak positions follow from Bragg's law for the DFT cell and can differ from measured ones.

Structural model:
Lattice parameters (Å, degrees): 6.1635 6.1635 6.1635 56.96 56.96 56.96
Element x y z (fractional)
Ac 0.0000 0.0000 0.0000
Sc 0.4828 0.4828 0.4828
Tl 0.2672 0.2672 0.2672
Tl 0.7767 0.7767 0.7767
O 0.1021 0.6430 0.4185
O 0.2042 0.5727 0.8603
O 0.4185 0.1021 0.6430
O 0.5727 0.8603 0.2042
O 0.6430 0.4185 0.1021
O 0.8603 0.2042 0.5727

Peak list (6 most intense, 10 to 90 degrees two-theta, by angle)
2theta	d/Å	intensity
18.4	4.835	23.6
29.0	3.075	100.0
30.4	2.939	90.5
42.5	2.125	40.3
53.2	1.722	41.2
54.0	1.697	25.3